Computed XRD peak list of Zr4SnPC2 for Cu Kα X-rays, from DFT lattice parameters and positions (PBE).

Atomic structure:
Cell: 3.4241 3.4241 13.4623 Å, 90.00 90.00 120.00°
Positions (direct):
Zr: 0.0000 0.0000 0.1336
Zr: 0.0000 0.0000 0.8664
Zr: 0.3333 0.6667 0.3212
Zr: 0.3333 0.6667 0.6788
Sn: 0.0000 0.0000 0.5000
P: 0.3333 0.6667 0.0000
C: 0.6667 0.3333 0.2306
C: 0.6667 0.3333 0.7694

Most intense lines, 10 to 80 degrees two-theta, sorted by position:
- 2θ 30.14, 2.965 Å, intensity 30
- 2θ 33.01, 2.714 Å, intensity 20
- 2θ 33.28, 2.692 Å, intensity 12
- 2θ 36.31, 2.474 Å, intensity 100
- 2θ 40.19, 2.244 Å, intensity 9
- 2θ 45.50, 1.993 Å, intensity 11
- 2θ 51.04, 1.789 Å, intensity 9
- 2θ 53.53, 1.712 Å, intensity 27
- 2θ 63.57, 1.464 Å, intensity 16
- 2θ 64.50, 1.445 Å, intensity 11
- 2θ 66.41, 1.408 Å, intensity 17
- 2θ 69.00, 1.361 Å, intensity 11

***

Computed XRD peak list of Ta4TlPC2 for Cu Kα X-rays, from DFT lattice parameters and positions (PBE).

Atomic structure:
Cell: 3.2616 3.2616 12.9648 Å, 90.00 90.00 120.00°
Positions (direct):
Ta: 0.0000 0.0000 0.1334
Ta: 0.0000 0.0000 0.8666
Ta: 0.3333 0.6667 0.3120
Ta: 0.3333 0.6667 0.6880
Tl: 0.0000 0.0000 0.5000
P: 0.3333 0.6667 0.0000
C: 0.6667 0.3333 0.2275
C: 0.6667 0.3333 0.7725

Most intense lines, 10 to 80 degrees two-theta, sorted by position:
- 2θ 31.68, 2.825 Å, intensity 34
- 2θ 32.44, 2.760 Å, intensity 5
- 2θ 34.62, 2.591 Å, intensity 44
- 2θ 38.06, 2.364 Å, intensity 100
- 2θ 41.80, 2.161 Å, intensity 8
- 2θ 47.61, 1.910 Å, intensity 13
- 2θ 53.38, 1.716 Å, intensity 7
- 2θ 56.42, 1.631 Å, intensity 27
- 2θ 66.52, 1.406 Å, intensity 21
- 2θ 67.90, 1.380 Å, intensity 19
- 2θ 70.10, 1.342 Å, intensity 17
- 2θ 72.63, 1.302 Å, intensity 9

***

Computed XRD peak list of Ta2P3W4C3 for Cu Kα X-rays, from DFT lattice parameters and positions (PBE).

Atomic structure:
Cell: 5.6093 5.6093 12.0103 Å, 103.71 103.71 60.04°
Positions (direct):
Ta: 0.0322 0.8608 0.6026
Ta: 0.1392 0.9678 0.8974
Ta: 0.8608 0.0322 0.1026
Ta: 0.9678 0.1392 0.3974
P: 0.0835 0.2652 0.7499
P: 0.2652 0.0835 0.2499
P: 0.4328 0.5672 0.7500
P: 0.5672 0.4328 0.2500
P: 0.7348 0.9165 0.7501
P: 0.9165 0.7348 0.2501
W: 0.1961 0.3760 0.0945
W: 0.3091 0.4568 0.4070
W: 0.3760 0.1961 0.5945
W: 0.4568 0.3091 0.9070
W: 0.5432 0.6909 0.0930
W: 0.6240 0.8039 0.4055
W: 0.6909 0.5432 0.5930
W: 0.8039 0.6240 0.9055
C: 0.0000 0.5000 0.5000
C: 0.1623 0.6788 0.0003
C: 0.3212 0.8377 0.4997
C: 0.5000 0.0000 0.0000
C: 0.6788 0.1623 0.5003
C: 0.8377 0.3212 0.9997

Most intense lines, 10 to 80 degrees two-theta, sorted by position:
- 2θ 15.34, 5.776 Å, intensity 27
- 2θ 30.97, 2.888 Å, intensity 24
- 2θ 31.90, 2.805 Å, intensity 43
- 2θ 32.86, 2.726 Å, intensity 54
- 2θ 39.72, 2.270 Å, intensity 100
- 2θ 39.83, 2.263 Å, intensity 50
- 2θ 45.01, 2.014 Å, intensity 11
- 2θ 47.21, 1.925 Å, intensity 16
- 2θ 56.85, 1.620 Å, intensity 39
- 2θ 58.05, 1.589 Å, intensity 10
- 2θ 71.54, 1.319 Å, intensity 17
- 2θ 76.80, 1.241 Å, intensity 11

***

Computed XRD peak list of Y4ZnPC2 for Cu Kα X-rays, from DFT lattice parameters and positions (PBE).

Atomic structure:
Cell: 3.7238 3.7238 13.7243 Å, 90.00 90.00 120.00°
Positions (direct):
Y: 0.0000 0.0000 0.1337
Y: 0.0000 0.0000 0.8663
Y: 0.6667 0.3333 0.3303
Y: 0.6667 0.3333 0.6697
Zn: 0.0000 0.0000 0.5000
P: 0.6667 0.3333 0.0000
C: 0.3333 0.6667 0.2447
C: 0.3333 0.6667 0.7553

Most intense lines, 10 to 80 degrees two-theta, sorted by position:
- 2θ 27.66, 3.225 Å, intensity 28
- 2θ 28.43, 3.139 Å, intensity 10
- 2θ 30.63, 2.919 Å, intensity 10
- 2θ 34.01, 2.636 Å, intensity 100
- 2θ 39.39, 2.287 Å, intensity 8
- 2θ 43.29, 2.090 Å, intensity 7
- 2θ 48.81, 1.866 Å, intensity 10
- 2θ 48.92, 1.862 Å, intensity 29
- 2θ 60.04, 1.541 Å, intensity 7
- 2θ 60.92, 1.521 Å, intensity 18
- 2θ 61.19, 1.515 Å, intensity 10
- 2θ 64.54, 1.444 Å, intensity 11

***

Computed XRD peak list of ZrP2C for Cu Kα X-rays, from DFT lattice parameters and positions (PBE).

Atomic structure:
Cell: 3.0030 3.0030 13.7002 Å, 90.00 90.00 120.00°
Positions (direct):
Zr: 0.3333 0.6667 0.2500
Zr: 0.6667 0.3333 0.7500
P: 0.3333 0.6667 0.5914
P: 0.3333 0.6667 0.9086
P: 0.6667 0.3333 0.0914
P: 0.6667 0.3333 0.4086
C: 0.0000 0.0000 0.0000
C: 0.0000 0.0000 0.5000

Most intense lines, 10 to 80 degrees two-theta, sorted by position:
- 2θ 12.92, 6.850 Å, intensity 43
- 2θ 34.49, 2.601 Å, intensity 19
- 2θ 35.12, 2.555 Å, intensity 22
- 2θ 36.97, 2.431 Å, intensity 14
- 2θ 39.46, 2.283 Å, intensity 19
- 2θ 39.89, 2.260 Å, intensity 100
- 2θ 48.25, 1.886 Å, intensity 15
- 2θ 53.40, 1.716 Å, intensity 17
- 2θ 61.78, 1.502 Å, intensity 20
- 2θ 71.86, 1.314 Å, intensity 15
- 2θ 75.83, 1.255 Å, intensity 17
- 2θ 76.11, 1.251 Å, intensity 14

***

Computed XRD peak list of PaC2 for Cu Kα X-rays, from DFT lattice parameters and positions (PBE).

Atomic structure:
Cell: 3.9815 3.9815 3.9815 Å, 126.09 126.09 79.73°
Positions (direct):
Pa: 0.0000 0.0000 0.0000
C: 0.3882 0.3882 0.0000
C: 0.6118 0.6118 0.0000

Most intense lines, 10 to 80 degrees two-theta, sorted by position:
- 2θ 28.72, 3.108 Å, intensity 100
- 2θ 29.22, 3.056 Å, intensity 29
- 2θ 35.16, 2.552 Å, intensity 42
- 2θ 46.35, 1.959 Å, intensity 34
- 2θ 50.58, 1.805 Å, intensity 15
- 2θ 51.51, 1.774 Å, intensity 26
- 2θ 59.21, 1.561 Å, intensity 29
- 2θ 59.49, 1.554 Å, intensity 16
- 2θ 60.60, 1.528 Å, intensity 3
- 2θ 72.04, 1.311 Å, intensity 8
- 2θ 74.33, 1.276 Å, intensity 5
- 2θ 75.08, 1.265 Å, intensity 17